For LaSmErAg, DFT lattice parameters and positions (GGA-PBE) gives the theoretical X-ray powder pattern in this record (Cu Kα).

Peak list (10 most intense, 5° ≤ 2θ ≤ 70°, by angle)
2theta	intensity
26.3	8
30.7	7
31.8	100
34.5	48
39.4	9
46.8	9
49.6	17
54.9	11
58.4	8
60.1	32

Structure:
Cell: 3.6754 3.6754 8.7502 Å, 90.00 90.00 90.00°
Atoms (fractional coordinates):
La  0.0000  0.0000  0.0000
Sm  0.5000  0.5000  0.7026
Er  0.5000  0.5000  0.2917
Ag  0.0000  0.0000  0.4827


For Er2MgAg8, DFT lattice parameters and positions (GGA-PBE) gives the theoretical X-ray powder pattern in this record (Cu Kα).

Peak list (10 most intense, 5° ≤ 2θ ≤ 70°, by angle)
2theta	intensity
29.8	6
36.6	100
38.1	25
39.3	7
39.5	19
49.3	9
56.0	13
64.0	8
67.9	15
69.8	6

Structure:
Cell: 7.5707 7.5707 7.0891 Å, 113.19 113.19 36.37°
Atoms (fractional coordinates):
Er  0.2162  0.2162  0.1502
Er  0.7838  0.7838  0.8498
Mg  0.5000  0.5000  0.5000
Ag  0.0254  0.0254  0.2239
Ag  0.1437  0.1437  0.6618
Ag  0.3342  0.3342  0.6166
Ag  0.4120  0.4120  0.0650
Ag  0.5880  0.5880  0.9350
Ag  0.6658  0.6658  0.3834
Ag  0.8563  0.8563  0.3382
Ag  0.9746  0.9746  0.7761